Starting from DFT lattice parameters and positions (GGA-PBE), the X-ray diffraction stick pattern of Tb3Dy8Er4 was simulated for copper Kα.
Neutral-atom scattering factors, no anomalous dispersion.

Structure:
```
data_Tb3Dy8Er4
_cell_length_a 6.8816
_cell_length_b 6.8816
_cell_length_c 35.0071
_cell_angle_alpha 90.00
_cell_angle_beta 90.00
_cell_angle_gamma 120.00
_symmetry_space_group_name_H-M 'R -3 m'
_symmetry_Int_Tables_number 166
_symmetry_space_group_name_Hall '-R 3 2"'
loop_
_atom_site_label
_atom_site_type_symbol
_atom_site_fract_x
_atom_site_fract_y
_atom_site_fract_z
Tb1 Tb 0.0000 0.5000 0.0000
Dy1 Dy 0.0000 0.0000 0.2546
Dy2 Dy 0.0014 0.5007 0.2500
Er1 Er 0.0000 0.0000 0.0000
Er2 Er 0.0000 0.0000 0.1639
Er3 Er 0.0000 0.0000 0.5000
```

The 10 most intense peaks (15 to 90 degrees two-theta), sorted by position:
2θ 27.02, I 17.8, hkl 1 1 3; 2θ 30.13, I 29.1, hkl 0 2 1; 2θ 30.65, I 57.8, hkl 0 0 12; 2θ 31.72, I 100.0, hkl 0 2 4; 2θ 36.48, I 72.9, hkl 2 0 8; 2θ 51.84, I 23.1, hkl 0 2 16; 2θ 53.24, I 37.9, hkl 2 2 0; 2θ 61.43, I 16.5, hkl 2 0 20; 2θ 62.69, I 45.4, hkl 2 2 12; 2θ 87.73, I 18.5, hkl 2 2 24

Starting from DFT lattice parameters and positions (GGA-PBE), the X-ray diffraction stick pattern of TbDy4Er10 was simulated for copper Kα.
Neutral-atom scattering factors, no anomalous dispersion.

Structure:
```
data_TbDy4Er10
_cell_length_a 12.0352
_cell_length_b 12.0352
_cell_length_c 7.5991
_cell_angle_alpha 90.00
_cell_angle_beta 90.00
_cell_angle_gamma 90.00
_symmetry_space_group_name_H-M 'I 4/m'
_symmetry_Int_Tables_number 87
_symmetry_space_group_name_Hall '-I 4'
loop_
_atom_site_label
_atom_site_type_symbol
_atom_site_fract_x
_atom_site_fract_y
_atom_site_fract_z
Tb1 Tb 0.0000 0.0000 0.0000
Dy1 Dy 0.1003 0.2998 0.5000
Er1 Er 0.0000 0.5000 0.2500
Er2 Er 0.0997 0.7997 0.2503
```

The 10 most intense peaks (15 to 90 degrees two-theta), sorted by position:
2θ 20.22, I 24.6, hkl 2 1 1; 2θ 23.39, I 14.9, hkl 1 3 0; 2θ 33.31, I 100.0, hkl 4 2 0; 2θ 39.28, I 13.6, hkl 5 0 1; 2θ 47.83, I 18.3, hkl 2 6 0; 2θ 52.43, I 5.9, hkl 6 3 1; 2θ 53.90, I 6.3, hkl 7 1 0; 2θ 59.53, I 38.2, hkl 7 1 2; 2θ 69.95, I 11.8, hkl 8 4 0; 2θ 79.67, I 11.0, hkl 10 0 0